Entry 1:
Computed powder diffraction line list
Compound: Tm2Sc2Ni3
Radiation: Cu Kα (weighted mean of Kα1 and Kα2)
Structure: a structure optimized by DFT (GGA-PBE)
Intensities are scaled so that the largest is 100.

Lattice parameters (Å, degrees): 4.5473 4.6333 7.1750 108.74 107.58 90.06
Fractional coordinates of all 7 atoms:
Tm (0.1365, 0.1259, 0.2520)
Tm (0.8635, 0.8741, 0.7480)
Sc (0.3676, 0.3745, 0.7494)
Sc (0.6324, 0.6255, 0.2506)
Ni (0.0000, 0.5000, 0.0000)
Ni (0.2428, 0.7458, 0.4938)
Ni (0.7572, 0.2542, 0.5062)

Top 10 peaks for 2θ = 5–70°, by angle:
- 2θ = 20.61°, 4.309 Å, I = 24
- 2θ = 20.82°, 4.266 Å, I = 28
- 2θ = 27.49°, 3.245 Å, I = 24
- 2θ = 27.71°, 3.220 Å, I = 12
- 2θ = 28.34°, 3.149 Å, I = 27
- 2θ = 38.87°, 2.317 Å, I = 35
- 2θ = 39.19°, 2.299 Å, I = 69
- 2θ = 39.66°, 2.273 Å, I = 100
- 2θ = 56.73°, 1.623 Å, I = 23
- 2θ = 57.22°, 1.610 Å, I = 14

Entry 2:
Computed powder diffraction line list
Compound: ScU2Ni9
Radiation: Cu Kα (weighted mean of Kα1 and Kα2)
Structure: a structure optimized by DFT (GGA-PBE)
Intensities are scaled so that the largest is 100.

Lattice parameters (Å, degrees): 8.6168 8.6168 8.6168 32.43 32.43 32.43
Fractional coordinates of all 12 atoms:
Sc (0.0000, 0.0000, 0.0000)
U (0.1410, 0.1410, 0.1410)
U (0.8590, 0.8590, 0.8590)
Ni (0.0825, 0.5826, 0.5826)
Ni (0.3330, 0.3330, 0.3330)
Ni (0.4174, 0.4174, 0.9175)
Ni (0.4174, 0.9175, 0.4174)
Ni (0.5000, 0.5000, 0.5000)
Ni (0.5826, 0.0825, 0.5826)
Ni (0.5826, 0.5826, 0.0825)
Ni (0.6670, 0.6670, 0.6670)
Ni (0.9175, 0.4174, 0.4174)

Top 10 peaks for 2θ = 5–70°, by angle:
- 2θ = 10.85°, 8.157 Å, I = 67
- 2θ = 25.87°, 3.444 Å, I = 34
- 2θ = 33.46°, 2.678 Å, I = 45
- 2θ = 36.44°, 2.466 Å, I = 28
- 2θ = 37.38°, 2.406 Å, I = 46
- 2θ = 39.03°, 2.308 Å, I = 22
- 2θ = 43.66°, 2.073 Å, I = 100
- 2θ = 46.02°, 1.972 Å, I = 25
- 2θ = 46.26°, 1.962 Å, I = 31
- 2θ = 47.42°, 1.917 Å, I = 21

Entry 3:
Computed powder diffraction line list
Compound: ScNi2W
Radiation: Cu Kα (weighted mean of Kα1 and Kα2)
Structure: a structure optimized by DFT (GGA-PBE)
Intensities are scaled so that the largest is 100.

Lattice parameters (Å, degrees): 4.9633 4.9633 4.5896 104.43 104.43 31.68
Fractional coordinates of all 4 atoms:
Sc (0.0000, 0.0000, 0.0000)
Ni (0.4718, 0.4718, 0.4942)
Ni (0.7638, 0.7638, 0.1601)
W (0.2169, 0.2169, 0.6273)

Top 10 peaks for 2θ = 5–70°, by angle:
- 2θ = 19.25°, 4.612 Å, I = 53
- 2θ = 20.03°, 4.433 Å, I = 51
- 2θ = 38.85°, 2.318 Å, I = 34
- 2θ = 39.07°, 2.306 Å, I = 75
- 2θ = 40.32°, 2.237 Å, I = 42
- 2θ = 40.71°, 2.216 Å, I = 30
- 2θ = 41.53°, 2.174 Å, I = 100
- 2θ = 45.81°, 1.981 Å, I = 74
- 2θ = 49.06°, 1.857 Å, I = 27
- 2θ = 69.34°, 1.355 Å, I = 25